For PmNd, a structure optimized by DFT (PBE) gives the theoretical powder diffraction line list in this record (a wavelength of 1.5418 Å).
Intensities are scaled so that the largest is 100.

Atomic structure:
```
2
Lattice="3.673 0.000 0.000 -1.836 3.181 0.000 0.000 0.000 6.029" Properties=species:S:1:pos:R:3 pbc="T T T"
Pm 0.000 0.000 0.000
Nd 0.000 2.120 3.015
```

Peak list (10 most intense, 2θ = 10–90°, low angle first)
| 2θ/deg | I/Imax |
| --- | --- |
| 28.05 | 23 |
| 29.63 | 27 |
| 31.81 | 100 |
| 41.26 | 16 |
| 49.64 | 19 |
| 53.97 | 22 |
| 58.89 | 23 |
| 60.18 | 16 |
| 81.67 | 14 |
| 82.86 | 9 |

---

For Pm3Nd, a structure optimized by DFT (PBE) gives the theoretical powder diffraction line list in this record (a wavelength of 1.5418 Å).
Intensities are scaled so that the largest is 100.

Atomic structure:
```
8
Lattice="5.177 0.000 0.000 0.000 5.177 0.000 0.000 0.000 10.388" Properties=species:S:1:pos:R:3 pbc="T T T"
Pm 0.000 0.000 0.000
Pm 0.000 2.589 2.597
Pm 0.000 2.589 7.791
Pm 2.589 0.000 2.597
Pm 2.589 0.000 7.791
Pm 2.589 2.589 5.194
Nd 0.000 0.000 5.194
Nd 2.589 2.589 0.000
```

Peak list (10 most intense, 2θ = 10–90°, low angle first)
| 2θ/deg | I/Imax |
| --- | --- |
| 29.86 | 100 |
| 34.54 | 17 |
| 34.65 | 34 |
| 49.76 | 36 |
| 59.02 | 15 |
| 59.17 | 29 |
| 62.03 | 12 |
| 80.79 | 12 |
| 80.92 | 6 |
| 83.47 | 11 |

---

For Pm3Nd, a structure optimized by DFT (PBE) gives the theoretical powder diffraction line list in this record (a wavelength of 1.5418 Å).
Intensities are scaled so that the largest is 100.

Atomic structure:
```
8
Lattice="7.338 0.000 0.000 -3.669 6.355 0.000 0.000 0.000 6.020" Properties=species:S:1:pos:R:3 pbc="T T T"
Pm 0.000 2.115 1.505
Pm -1.838 5.298 1.505
Pm 1.832 1.058 4.515
Pm 1.838 5.298 1.505
Pm 5.507 1.058 4.515
Pm 3.669 4.240 4.515
Nd 0.000 4.237 4.515
Nd 3.669 2.118 1.505
```

Peak list (10 most intense, 2θ = 10–90°, low angle first)
| 2θ/deg | I/Imax |
| --- | --- |
| 28.08 | 23 |
| 29.68 | 27 |
| 31.84 | 100 |
| 41.31 | 16 |
| 49.70 | 19 |
| 54.05 | 22 |
| 58.96 | 23 |
| 60.24 | 16 |
| 81.77 | 14 |
| 82.99 | 9 |

---

For PmNdTl2, a structure optimized by DFT (PBE) gives the theoretical powder diffraction line list in this record (a wavelength of 1.5418 Å).
Intensities are scaled so that the largest is 100.

Atomic structure:
```
16
Lattice="7.788 0.000 0.000 0.000 7.788 0.000 0.000 0.000 7.788" Properties=species:S:1:pos:R:3 pbc="T T T"
Pm 0.000 0.000 0.000
Pm 0.000 3.894 3.894
Pm 3.894 0.000 3.894
Pm 3.894 3.894 0.000
Nd 0.000 0.000 3.894
Nd 0.000 3.894 0.000
Nd 3.894 0.000 0.000
Nd 3.894 3.894 3.894
Tl 1.947 1.947 1.947
Tl 1.947 1.947 5.841
Tl 1.947 5.841 1.947
Tl 1.947 5.841 5.841
Tl 5.841 1.947 1.947
Tl 5.841 1.947 5.841
Tl 5.841 5.841 1.947
Tl 5.841 5.841 5.841
```

Peak list (10 most intense, 2θ = 10–90°, low angle first)
| 2θ/deg | I/Imax |
| --- | --- |
| 22.84 | 3 |
| 32.52 | 100 |
| 40.11 | 1 |
| 46.65 | 19 |
| 52.55 | 1 |
| 58.01 | 39 |
| 68.10 | 12 |
| 72.87 | 1 |
| 77.52 | 17 |
| 86.59 | 4 |

---

For PrNd, a structure optimized by DFT (PBE) gives the theoretical powder diffraction line list in this record (a wavelength of 1.5418 Å).
Intensities are scaled so that the largest is 100.

Atomic structure:
```
4
Lattice="3.708 0.000 0.000 -1.854 3.211 0.000 0.000 0.000 11.972" Properties=species:S:1:pos:R:3 pbc="T T T"
Pr 0.000 0.000 0.000
Pr 0.000 0.000 5.986
Nd 0.000 2.141 2.993
Nd 1.854 1.070 8.979
```

Peak list (10 most intense, 2θ = 10–90°, low angle first)
| 2θ/deg | I/Imax |
| --- | --- |
| 28.79 | 44 |
| 29.85 | 35 |
| 31.62 | 100 |
| 35.90 | 24 |
| 49.15 | 26 |
| 54.12 | 22 |
| 58.57 | 31 |
| 59.63 | 16 |
| 80.81 | 14 |
| 82.92 | 11 |

---

For PrNd, a structure optimized by DFT (PBE) gives the theoretical powder diffraction line list in this record (a wavelength of 1.5418 Å).
Intensities are scaled so that the largest is 100.

Atomic structure:
```
2
Lattice="3.709 0.000 0.000 -1.854 3.212 0.000 0.000 0.000 6.102" Properties=species:S:1:pos:R:3 pbc="T T T"
Pr 0.000 0.000 0.000
Nd 0.000 2.141 3.051
```

Peak list (10 most intense, 2θ = 10–90°, low angle first)
| 2θ/deg | I/Imax |
| --- | --- |
| 27.78 | 23 |
| 29.27 | 27 |
| 31.48 | 100 |
| 40.79 | 16 |
| 49.13 | 19 |
| 53.31 | 23 |
| 58.22 | 23 |
| 59.52 | 16 |
| 80.70 | 13 |
| 81.75 | 9 |

---

For Pr2Nd2Sb3, a structure optimized by DFT (PBE) gives the theoretical powder diffraction line list in this record (a wavelength of 1.5418 Å).
Intensities are scaled so that the largest is 100.

Atomic structure:
```
14
Lattice="-4.778 4.778 4.778 4.778 -4.778 4.778 4.778 4.778 -4.778" Properties=species:S:1:pos:R:3 pbc="T T T"
Pr 3.065 1.713 -1.713
Pr 1.713 -1.713 3.065
Pr 1.713 1.713 1.713
Pr -1.713 3.065 1.713
Nd 5.452 -0.674 0.674
Nd 0.674 5.452 -0.674
Nd -0.674 0.674 5.452
Nd 4.104 4.104 4.104
Sb 4.778 -2.389 3.573
Sb 3.573 4.778 -2.389
Sb 4.778 2.389 1.205
Sb 2.389 1.205 4.778
Sb 1.205 4.778 2.389
Sb -2.389 3.573 4.778
```

Peak list (10 most intense, 2θ = 10–90°, low angle first)
| 2θ/deg | I/Imax |
| --- | --- |
| 29.56 | 100 |
| 35.14 | 65 |
| 42.30 | 11 |
| 46.56 | 17 |
| 48.58 | 23 |
| 59.64 | 25 |
| 61.36 | 12 |
| 63.04 | 14 |
| 72.71 | 16 |
| 87.89 | 11 |

---

For PrNdSb, a structure optimized by DFT (PBE) gives the theoretical powder diffraction line list in this record (a wavelength of 1.5418 Å).
Intensities are scaled so that the largest is 100.

Atomic structure:
```
12
Lattice="4.604 0.000 0.000 0.000 4.604 0.000 0.000 0.000 17.828" Properties=species:S:1:pos:R:3 pbc="T T T"
Pr 0.000 0.000 3.197
Pr 0.000 0.000 14.631
Pr 2.302 2.302 5.717
Pr 2.302 2.302 12.111
Nd 0.000 2.302 0.000
Nd 0.000 2.302 8.914
Nd 2.302 0.000 0.000
Nd 2.302 0.000 8.914
Sb 0.000 0.000 6.470
Sb 0.000 0.000 11.358
Sb 2.302 2.302 2.444
Sb 2.302 2.302 15.384
```

Peak list (10 most intense, 2θ = 10–90°, low angle first)
| 2θ/deg | I/Imax |
| --- | --- |
| 29.20 | 100 |
| 30.08 | 38 |
| 31.74 | 33 |
| 34.11 | 87 |
| 39.13 | 59 |
| 50.13 | 42 |
| 56.54 | 20 |
| 64.90 | 20 |
| 65.37 | 21 |
| 67.70 | 23 |